(1)
# NaCaTl14
Simulated X-ray diffraction stick pattern, copper Kα. Input: a PBE-relaxed structure.
Neutral-atom scattering factors, no anomalous dispersion.

Peak list (8 most intense, 2θ = 10–90°, in order of falling intensity)
Position (°2θ)	intensity
32.06	100
32.79	24
32.64	24
56.73	18
58.07	18
57.87	17
46.93	17
67.04	11

Crystal structure
```
data_NaCaTl14
_cell_length_a 10.9266
_cell_length_b 6.8085
_cell_length_c 6.8085
_cell_angle_alpha 72.58
_cell_angle_beta 90.00
_cell_angle_gamma 90.00
_space_group_name_H-M_alt 'P 1'
_space_group_IT_number 1
_space_group_name_Hall 'P 1'
loop_
_atom_site_label
_atom_site_fract_x
_atom_site_fract_y
_atom_site_fract_z
Na1 0.0000 0.0000 0.0000
Ca1 0.0000 0.5337 0.5337
Tl1 0.0000 0.0473 0.4876
Tl2 0.0000 0.4876 0.0473
Tl3 0.2389 0.7823 0.7823
Tl4 0.2467 0.2769 0.8033
Tl5 0.2467 0.8033 0.2769
Tl6 0.2610 0.2984 0.2984
Tl7 0.5000 0.0186 0.5455
Tl8 0.5000 0.0371 0.0371
Tl9 0.5000 0.5285 0.5285
Tl10 0.5000 0.5455 0.0186
Tl11 0.7390 0.2984 0.2984
Tl12 0.7533 0.2769 0.8033
Tl13 0.7533 0.8033 0.2769
Tl14 0.7611 0.7823 0.7823
```

(2)
# K2Tl2Sn15
Simulated X-ray diffraction stick pattern, copper Kα. Input: a PBE-relaxed structure.
Neutral-atom scattering factors, no anomalous dispersion.

Peak list (8 most intense, 2θ = 10–90°, in order of falling intensity)
Position (°2θ)	intensity
36.26	100
32.32	96
10.64	35
57.64	33
32.79	32
28.43	23
27.88	19
67.63	16

Crystal structure
```
data_K2Tl2Sn15
_cell_length_a 8.4613
_cell_length_b 8.4613
_cell_length_c 8.4613
_cell_angle_alpha 81.84
_cell_angle_beta 81.84
_cell_angle_gamma 81.84
_space_group_name_H-M_alt 'P 1'
_space_group_IT_number 1
_space_group_name_Hall 'P 1'
loop_
_atom_site_label
_atom_site_fract_x
_atom_site_fract_y
_atom_site_fract_z
K1 0.1593 0.1593 0.1593
K2 0.8407 0.8407 0.8407
Tl1 0.3983 0.3983 0.3983
Tl2 0.6017 0.6017 0.6017
Sn1 0.0000 0.5000 0.5000
Sn2 0.1442 0.1442 0.6546
Sn3 0.1442 0.6546 0.1442
Sn4 0.2033 0.5000 0.7967
Sn5 0.2033 0.7967 0.5000
Sn6 0.3454 0.8558 0.8558
Sn7 0.5000 0.0000 0.5000
Sn8 0.5000 0.2033 0.7967
Sn9 0.5000 0.5000 0.0000
Sn10 0.5000 0.7967 0.2033
Sn11 0.6546 0.1442 0.1442
Sn12 0.7967 0.2033 0.5000
Sn13 0.7967 0.5000 0.2033
Sn14 0.8558 0.3454 0.8558
Sn15 0.8558 0.8558 0.3454
```

(3)
# Ho4Al3Au
Simulated X-ray diffraction stick pattern, copper Kα. Input: a PBE-relaxed structure.
Neutral-atom scattering factors, no anomalous dispersion.

Peak list (8 most intense, 2θ = 10–90°, in order of falling intensity)
Position (°2θ)	intensity
32.06	100
33.50	48
25.24	33
37.30	33
39.21	27
40.22	26
53.31	26
31.28	22

Crystal structure
```
data_Ho4Al3Au
_cell_length_a 3.7542
_cell_length_b 4.4844
_cell_length_c 11.4380
_cell_angle_alpha 90.00
_cell_angle_beta 90.00
_cell_angle_gamma 90.00
_space_group_name_H-M_alt 'P 1'
_space_group_IT_number 1
_space_group_name_Hall 'P 1'
loop_
_atom_site_label
_atom_site_fract_x
_atom_site_fract_y
_atom_site_fract_z
Ho1 0.0000 0.0000 0.0000
Ho2 0.0000 0.5000 0.2929
Ho3 0.5000 0.0000 0.4891
Ho4 0.5000 0.5000 0.8012
Al1 0.0000 0.0000 0.7133
Al2 0.0000 0.5000 0.5758
Al3 0.5000 0.5000 0.0734
Au1 0.5000 0.0000 0.2201
```

(4)
# CsAlCoCl6
Simulated X-ray diffraction stick pattern, copper Kα. Input: a PBE-relaxed structure.
Neutral-atom scattering factors, no anomalous dispersion.

Peak list (8 most intense, 2θ = 10–90°, in order of falling intensity)
Position (°2θ)	intensity
19.80	100
36.65	51
19.87	50
30.60	28
36.42	24
50.27	24
45.61	21
30.67	15

Crystal structure
```
data_CsAlCoCl6
_cell_length_a 6.2834
_cell_length_b 6.2834
_cell_length_c 7.8780
_cell_angle_alpha 90.20
_cell_angle_beta 90.20
_cell_angle_gamma 119.89
_space_group_name_H-M_alt 'P 1'
_space_group_IT_number 1
_space_group_name_Hall 'P 1'
loop_
_atom_site_label
_atom_site_fract_x
_atom_site_fract_y
_atom_site_fract_z
Cs1 0.0000 0.0000 0.0000
Al1 0.6665 0.3335 0.5000
Co1 0.3316 0.6684 0.5000
Cl1 0.3796 0.0118 0.6712
Cl2 0.3840 0.3727 0.3262
Cl3 0.6273 0.6160 0.6738
Cl4 0.6334 0.0121 0.3281
Cl5 0.9879 0.3666 0.6719
Cl6 0.9882 0.6204 0.3288
```

(5)
# ErTl5
Simulated X-ray diffraction stick pattern, copper Kα. Input: a PBE-relaxed structure.
Neutral-atom scattering factors, no anomalous dispersion.

Peak list (8 most intense, 2θ = 10–90°, in order of falling intensity)
Position (°2θ)	intensity
32.05	100
35.03	20
36.77	17
60.97	16
63.28	15
39.59	14
51.70	13
67.02	12

Crystal structure
```
data_ErTl5
_cell_length_a 4.8881
_cell_length_b 15.3677
_cell_length_c 4.5526
_cell_angle_alpha 90.00
_cell_angle_beta 90.00
_cell_angle_gamma 90.00
_space_group_name_H-M_alt 'P 1'
_space_group_IT_number 1
_space_group_name_Hall 'P 1'
loop_
_atom_site_label
_atom_site_fract_x
_atom_site_fract_y
_atom_site_fract_z
Er1 0.0000 0.0000 0.0000
Er2 0.5000 0.5000 0.0000
Tl1 0.0000 0.1640 0.5000
Tl2 0.0000 0.3349 0.0000
Tl3 0.0000 0.5000 0.5000
Tl4 0.0000 0.6651 0.0000
Tl5 0.0000 0.8360 0.5000
Tl6 0.5000 0.0000 0.5000
Tl7 0.5000 0.1651 0.0000
Tl8 0.5000 0.3360 0.5000
Tl9 0.5000 0.6640 0.5000
Tl10 0.5000 0.8349 0.0000
```

(6)
# Tl2Cd
Simulated X-ray diffraction stick pattern, copper Kα. Input: a PBE-relaxed structure.
Neutral-atom scattering factors, no anomalous dispersion.

Peak list (8 most intense, 2θ = 10–90°, in order of falling intensity)
Position (°2θ)	intensity
32.56	100
35.42	77
31.62	49
31.82	43
49.83	23
55.25	19
40.78	19
54.97	16

Crystal structure
```
data_Tl2Cd
_cell_length_a 11.8168
_cell_length_b 3.5106
_cell_length_c 8.8502
_cell_angle_alpha 90.00
_cell_angle_beta 111.63
_cell_angle_gamma 90.00
_space_group_name_H-M_alt 'P 1'
_space_group_IT_number 1
_space_group_name_Hall 'P 1'
loop_
_atom_site_label
_atom_site_fract_x
_atom_site_fract_y
_atom_site_fract_z
Tl1 0.0062 0.0000 0.2129
Tl2 0.1566 0.5000 0.5788
Tl3 0.3434 0.0000 0.4212
Tl4 0.4938 0.5000 0.7871
Tl5 0.5062 0.5000 0.2129
Tl6 0.6566 0.0000 0.5788
Tl7 0.8434 0.5000 0.4212
Tl8 0.9938 0.0000 0.7871
Cd1 0.1926 0.5000 0.0943
Cd2 0.3074 0.0000 0.9057
Cd3 0.6926 0.0000 0.0943
Cd4 0.8074 0.5000 0.9057
```